[1]
Computed powder diffractogram
Compound: NpVH4
Radiation: copper Kα
Structure: the PBE geometry in Alexandria

Main lines, sorted by position (5 to 70 degrees two-theta):
2θ/deg	I (rel.)
20.20	89
33.43	36
35.24	100
40.76	26
41.02	26
46.12	23
53.70	24
53.90	20
54.88	13
60.93	21

Crystal structure
```
NpVH4
1.0
-2.2008 2.6804 3.8423
2.2008 -2.6804 3.8423
2.2008 2.6804 -3.8423
Np V H
2 2 8
Direct
0.4160 0.1660 0.2500 Np
0.5840 0.8340 0.7500 Np
0.1527 0.4027 0.7500 V
0.8473 0.5973 0.2500 V
0.0000 0.2623 0.2623 H
0.0000 0.7377 0.7377 H
0.1752 0.0000 0.6752 H
0.1752 0.5000 0.1752 H
0.5000 0.2623 0.7623 H
0.5000 0.7377 0.2377 H
0.8248 0.0000 0.3248 H
0.8248 0.5000 0.8248 H
```

---

[2]
Computed powder diffractogram
Compound: HOsPb2O6
Radiation: copper Kα
Structure: the PBE geometry in Alexandria

Main lines, sorted by position (5 to 70 degrees two-theta):
2θ/deg	I (rel.)
19.24	100
21.98	37
29.18	71
30.21	78
30.61	55
32.54	67
33.80	35
47.64	22
48.31	21
51.78	32

Crystal structure
```
HOsPb2O6
1.0
3.8364 -4.6800 0.0000
3.8364 4.6800 0.0000
-3.4442 0.0000 4.0446
H Os Pb O
1 1 2 6
Direct
0.0000 0.0000 0.0000 H
0.2995 0.2995 0.6749 Os
0.0425 0.6404 0.3090 Pb
0.6404 0.0425 0.3090 Pb
0.0511 0.0511 0.6836 O
0.0754 0.4860 0.6809 O
0.4018 0.4018 0.4575 O
0.4860 0.0754 0.6809 O
0.5670 0.5670 0.1068 O
0.9777 0.9777 0.1637 O
```

---

[3]
Computed powder diffractogram
Compound: Tl2HOsO6
Radiation: copper Kα
Structure: the PBE geometry in Alexandria

Main lines, sorted by position (5 to 70 degrees two-theta):
2θ/deg	I (rel.)
15.04	41
17.97	62
18.99	72
20.31	29
23.67	78
26.17	60
29.37	43
29.55	100
30.40	76
41.29	28

Crystal structure
```
Tl2HOsO6
1.0
5.9391 0.0000 0.0000
2.8032 5.3864 0.0000
2.1372 -0.6630 5.8919
Tl H Os O
2 1 1 6
Direct
0.0000 0.0000 0.0000 Tl
0.1185 0.4040 0.5064 Tl
0.6207 0.4676 0.7522 H
0.4140 0.7761 0.3916 Os
0.2655 0.6407 0.2561 O
0.2714 0.0530 0.2450 O
0.3076 0.6160 0.6379 O
0.3650 0.0019 0.6095 O
0.7623 0.6093 0.2581 O
0.7878 0.4045 0.7881 O
```

---

[4]
Computed powder diffractogram
Compound: P3HPb2O10
Radiation: copper Kα
Structure: the PBE geometry in Alexandria

Main lines, sorted by position (5 to 70 degrees two-theta):
2θ/deg	I (rel.)
14.51	100
19.00	56
21.45	44
23.73	43
23.91	38
24.18	60
26.08	37
29.23	61
29.67	41
34.40	38

Crystal structure
```
P3HPb2O10
1.0
5.4244 0.0000 0.0000
-1.7031 6.7657 0.0000
-0.8916 -3.4994 6.8347
P H Pb O
3 1 2 10
Direct
0.0000 0.0000 0.0000 P
0.1573 0.9898 0.6500 P
0.7086 0.6421 0.3055 P
0.9311 0.4161 0.1770 H
0.3472 0.6254 0.8486 Pb
0.5962 0.1412 0.3683 Pb
0.0735 0.1090 0.8519 O
0.2561 0.9675 0.0771 O
0.2703 0.8130 0.6466 O
0.3166 0.1798 0.6195 O
0.5298 0.7133 0.1944 O
0.5827 0.4864 0.3828 O
0.7898 0.7744 0.8759 O
0.8802 0.8834 0.4899 O
0.9078 0.5589 0.1838 O
0.9188 0.1740 0.1573 O
```